Entry 1:
The following is a calculated XRD peak list of CsPa4Rh3S12. It was derived from a structure optimized by DFT (PBE), using λ = 1.5418 Å (Cu Kα).
Lines closer than 0.1° are merged.

Structural model:
```
data_CsPa4Rh3S12
_cell_length_a 9.7692
_cell_length_b 9.7692
_cell_length_c 9.7692
_cell_angle_alpha 90.00
_cell_angle_beta 90.00
_cell_angle_gamma 90.00
_space_group_name_H-M_alt 'I m -3'
_space_group_IT_number 204
_space_group_name_Hall '-I 2 2 3'
loop_
_atom_site_label
_atom_site_fract_x
_atom_site_fract_y
_atom_site_fract_z
Cs1 0.0000 0.0000 0.0000
Pa1 0.2500 0.2500 0.2500
Rh1 0.0000 0.0000 0.5000
S1 0.0000 0.1634 0.3223
```

Most intense lines, 2θ from 5° to 70°, low angle first:
two_theta  Rel. int.  index
18.2  15  2 0 0
25.8  100  2 2 0
28.9  5  3 1 0
31.7  3  2 2 2
36.8  24  4 0 0
41.3  12  4 0 2
45.5  60  4 2 2
53.0  15  4 4 0
56.5  3  4 4 2
59.9  23  6 0 2
63.1  4  6 2 2
66.3  6  4 4 4


Entry 2:
The following is a calculated XRD peak list of Sr3Cu3Sn8. It was derived from a structure optimized by DFT (PBE), using λ = 1.5418 Å (Cu Kα).
Lines closer than 0.1° are merged.

Structural model:
```
data_Sr3Cu3Sn8
_cell_length_a 17.1040
_cell_length_b 4.9821
_cell_length_c 10.1458
_cell_angle_alpha 90.00
_cell_angle_beta 122.86
_cell_angle_gamma 90.00
_space_group_name_H-M_alt 'C 1 2/m 1'
_space_group_IT_number 12
loop_
_space_group_symop_operation_xyz
'x,y,z'
'-x,-y,-z'
'-x,y,-z'
'x,-y,z'
'x+1/2,y+1/2,z'
'-x+1/2,-y+1/2,-z'
'-x+1/2,y+1/2,-z'
'x+1/2,-y+1/2,z'
loop_
_atom_site_label
_atom_site_fract_x
_atom_site_fract_y
_atom_site_fract_z
Sr1 0.0000 0.0000 0.0000
Sr2 0.2050 0.5000 0.6947
Cu1 0.0000 0.0000 0.5000
Cu2 0.1608 0.5000 0.3202
Sn1 0.0018 0.5000 0.3228
Sn2 0.1448 0.0000 0.4289
Sn3 0.1447 0.0000 0.8609
Sn4 0.1519 0.5000 0.0479
```

Most intense lines, 2θ from 5° to 70°, low angle first:
two_theta  Rel. int.  index
30.7  71  1 1 2
31.5  34  3 1 1
32.0  100  5 1 -2
32.4  22  5 1 -1
33.8  42  1 1 -3
36.1  86  0 2 0
37.6  38  6 0 0
40.8  32  5 1 -4
41.9  20  7 1 -3
53.0  29  6 2 0
62.3  15  5 3 -2
62.8  18  11 1 -4


Entry 3:
The following is a calculated XRD peak list of TbY2Au. It was derived from a structure optimized by DFT (PBE), using λ = 1.5418 Å (Cu Kα).
Lines closer than 0.1° are merged.

Structural model:
```
data_TbY2Au
_cell_length_a 6.9990
_cell_length_b 9.8183
_cell_length_c 6.6939
_cell_angle_alpha 90.00
_cell_angle_beta 90.00
_cell_angle_gamma 90.00
_space_group_name_H-M_alt 'P n m a'
_space_group_IT_number 62
loop_
_space_group_symop_operation_xyz
'x,y,z'
'-x,-y,-z'
'-x+1/2,-y,z+1/2'
'x+1/2,y,-z+1/2'
'x+1/2,-y+1/2,-z+1/2'
'-x+1/2,y+1/2,z+1/2'
'-x,y+1/2,-z'
'x,-y+1/2,z'
loop_
_atom_site_label
_atom_site_fract_x
_atom_site_fract_y
_atom_site_fract_z
Tb1 0.0130 0.2500 0.1213
Y1 0.1931 0.0550 0.6912
Au1 0.0937 0.7500 0.4568
```

Most intense lines, 2θ from 5° to 70°, low angle first:
two_theta  Rel. int.  index
18.1  62  0 2 0
20.5  36  1 1 1
30.4  33  0 3 1
31.0  100  1 1 2
31.4  84  2 2 0
32.4  53  0 2 2
33.0  36  1 3 1
36.6  37  0 4 0
37.6  31  2 3 0
40.7  31  1 3 2
42.0  34  3 1 1
46.6  34  1 2 3


Entry 4:
The following is a calculated XRD peak list of LuAl2Re. It was derived from a structure optimized by DFT (PBE), using λ = 1.5418 Å (Cu Kα).
Lines closer than 0.1° are merged.

Structural model:
```
data_LuAl2Re
_cell_length_a 3.0202
_cell_length_b 3.0202
_cell_length_c 27.8653
_cell_angle_alpha 90.00
_cell_angle_beta 90.00
_cell_angle_gamma 120.00
_space_group_name_H-M_alt 'R -3 m'
_space_group_IT_number 166
_space_group_name_Hall '-R 3 2"'
loop_
_atom_site_label
_atom_site_fract_x
_atom_site_fract_y
_atom_site_fract_z
Lu1 0.0000 0.0000 0.0000
Al1 0.0000 0.0000 0.2379
Re1 0.0000 0.0000 0.5000
```

Most intense lines, 2θ from 5° to 70°, low angle first:
two_theta  Rel. int.  index
9.5  3  0 0 3
19.1  95  0 0 6
34.9  63  0 1 2
36.7  100  1 0 4
38.8  26  0 0 12
43.3  61  0 1 8
47.7  29  1 0 10
58.3  18  0 1 14
59.7  6  0 0 18
61.4  23  1 1 0
64.3  17  1 0 16
64.9  22  1 1 6


Entry 5:
The following is a calculated XRD peak list of RbSrSmF6. It was derived from a structure optimized by DFT (PBE), using λ = 1.5418 Å (Cu Kα).
Lines closer than 0.1° are merged.

Structural model:
```
data_RbSrSmF6
_cell_length_a 7.9834
_cell_length_b 8.1689
_cell_length_c 11.5564
_cell_angle_alpha 90.00
_cell_angle_beta 90.00
_cell_angle_gamma 90.00
_space_group_name_H-M_alt 'I m m a'
_space_group_IT_number 74
_space_group_name_Hall '-I 2b 2'
loop_
_atom_site_label
_atom_site_fract_x
_atom_site_fract_y
_atom_site_fract_z
Rb1 0.0000 0.2500 0.1356
Sr1 0.2500 0.2500 0.7500
Sm1 0.0000 0.0000 0.5000
F1 0.0000 0.2500 0.5872
F2 0.0000 0.2500 0.8623
F3 0.1992 0.0259 0.3667
```

Most intense lines, 2θ from 5° to 70°, low angle first:
two_theta  Rel. int.  index
13.5  41  1 0 1
21.9  13  1 1 2
25.7  100  1 2 1
26.0  19  2 1 1
26.7  35  0 2 2
27.2  35  2 0 2
40.6  13  0 1 5
41.2  27  3 0 3
44.4  14  0 4 0
44.6  51  2 2 4
52.8  19  2 0 6
61.7  14  1 2 7


Entry 6:
The following is a calculated XRD peak list of Tb2Fe3B4. It was derived from a structure optimized by DFT (PBE), using λ = 1.5418 Å (Cu Kα).
Lines closer than 0.1° are merged.

Structural model:
```
data_Tb2Fe3B4
_cell_length_a 4.9009
_cell_length_b 8.3085
_cell_length_c 11.8455
_cell_angle_alpha 90.00
_cell_angle_beta 90.00
_cell_angle_gamma 90.00
_space_group_name_H-M_alt 'F m m m'
_space_group_IT_number 69
_space_group_name_Hall '-F 2 2'
loop_
_atom_site_label
_atom_site_fract_x
_atom_site_fract_y
_atom_site_fract_z
Tb1 0.0000 0.0000 0.1525
Fe1 0.0000 0.0000 0.5000
Fe2 0.2500 0.2500 0.0000
B1 0.0000 0.1671 0.3767
```

Most intense lines, 2θ from 5° to 70°, low angle first:
two_theta  Rel. int.  index
21.4  28  0 2 0
22.4  21  1 1 1
26.2  17  0 2 2
31.0  100  1 1 3
37.3  20  0 2 4
42.8  38  2 2 0
43.6  18  0 4 0
44.0  45  1 3 3
46.0  13  0 0 6
48.2  13  2 0 4
62.5  13  3 1 3
64.6  19  2 2 6